Computed powder diffractogram
Compound: Zr8Fe2C3N3
Radiation: Cu Kα, 1.54184 Å
Structure: a cell relaxed with GGA-PBE

Cell and atoms:
```
Zr8Fe2C3N3
1.0
3.2810 0.0000 0.0000
-1.6405 2.8414 0.0000
0.0000 0.0000 23.9347
Zr Fe C N
8 2 3 3
direct
0.0000 0.0000 0.1673
0.0000 0.0000 0.3308
0.0000 0.0000 0.6692
0.0000 0.0000 0.8327
0.3333 0.6667 0.5560
0.3333 0.6667 0.9438
0.6667 0.3333 0.0562
0.6667 0.3333 0.4440
0.3333 0.6667 0.7529
0.6667 0.3333 0.2471
0.0000 0.0000 0.5000
0.3333 0.6667 0.3835
0.6667 0.3333 0.6165
0.0000 0.0000 0.0000
0.3333 0.6667 0.1107
0.6667 0.3333 0.8893
```

Most intense lines, 2θ from 15° to 90°, low angle first:
d_spacing	Position (°2θ)	intensity
2.822	31.71	19
2.765	32.38	34
2.567	34.96	20
2.443	36.78	71
2.393	37.58	18
2.314	38.91	100
1.641	56.06	45
1.633	56.36	20

---

Computed powder diffractogram
Compound: Ho3Tm5
Radiation: Cu Kα, 1.54184 Å
Structure: a cell relaxed with GGA-PBE

Cell and atoms:
```
Ho3Tm5
1.0
5.5256 0.0000 0.0000
0.0000 3.5626 6.1708
0.0000 -3.5626 6.1708
Ho Tm
3 5
direct
0.0000 0.9998 0.9998
0.0000 0.5000 0.5000
0.5000 0.3330 0.3330
0.0000 0.4998 0.9992
0.0000 0.9992 0.4998
0.5000 0.3336 0.8329
0.5000 0.8329 0.3336
0.5000 0.8327 0.8327
```

Most intense lines, 2θ from 15° to 90°, low angle first:
d_spacing	Position (°2θ)	intensity
3.085	28.94	24
2.763	32.41	24
2.694	33.26	100
2.058	43.99	15
1.781	51.29	20
1.582	58.35	20
1.497	61.99	22
1.486	62.51	16

---

Computed powder diffractogram
Compound: Li8Al2Hg
Radiation: Cu Kα, 1.54184 Å
Structure: a cell relaxed with GGA-PBE

Cell and atoms:
```
Li8Al2Hg
1.0
3.8952 -2.2463 0.0000
3.8952 2.2463 0.0000
-2.6185 0.0000 10.0619
Li Al Hg
8 2 1
direct
0.0898 0.0898 0.2703
0.1762 0.1762 0.5285
0.2664 0.2664 0.7984
0.3634 0.3634 0.0906
0.6366 0.6366 0.9094
0.7336 0.7336 0.2016
0.8238 0.8238 0.4715
0.9102 0.9102 0.7297
0.4560 0.4560 0.3686
0.5440 0.5440 0.6314
0.0000 0.0000 0.0000
```

Most intense lines, 2θ from 15° to 90°, low angle first:
d_spacing	Position (°2θ)	intensity
5.031	17.63	43
3.861	23.04	44
3.770	23.60	100
3.460	25.75	68
3.272	27.26	45
2.890	30.95	41
2.246	40.15	67
1.867	48.77	28

---

Computed powder diffractogram
Compound: HfMgNO
Radiation: Cu Kα, 1.54184 Å
Structure: a cell relaxed with GGA-PBE

Cell and atoms:
```
HfMgNO
1.0
3.1281 0.0000 0.0000
0.0000 3.1281 0.0000
0.0000 0.0000 4.4184
Hf Mg N O
1 1 1 1
direct
0.0000 0.0000 0.0000
0.5000 0.5000 0.5000
0.5000 0.5000 0.0000
0.0000 0.0000 0.5000
```

Most intense lines, 2θ from 15° to 90°, low angle first:
d_spacing	Position (°2θ)	intensity
4.418	20.10	73
3.128	28.53	68
2.553	35.15	100
2.211	40.81	90
1.978	45.88	35
1.805	50.58	29
1.563	59.09	58
1.333	70.65	44

---

Computed powder diffractogram
Compound: AgSbS16F6
Radiation: Cu Kα, 1.54184 Å
Structure: a cell relaxed with GGA-PBE

Cell and atoms:
```
AgSbS16F6
1.0
8.6498 -3.8873 0.0000
8.6498 3.8873 0.0000
-3.3296 0.0000 15.2272
Ag Sb S F
2 2 32 12
direct
0.1624 0.8376 0.7500
0.8376 0.1624 0.2500
0.5000 0.5000 0.0000
0.5000 0.5000 0.5000
0.0046 0.2914 0.4419
0.0339 0.6300 0.8376
0.0725 0.0951 0.1423
0.0809 0.6614 0.2904
0.0828 0.2874 0.9237
0.0951 0.0725 0.6423
0.1078 0.4795 0.6221
0.1153 0.6891 0.1712
0.2237 0.5043 0.7443
0.2874 0.0828 0.4237
0.2914 0.0046 0.9419
0.3109 0.8847 0.3288
0.3386 0.9191 0.2096
0.3700 0.9661 0.6624
0.4795 0.1078 0.1221
0.4957 0.7763 0.7557
0.5043 0.2237 0.2443
0.5205 0.8922 0.8779
0.6300 0.0339 0.3376
0.6614 0.0809 0.7904
0.6891 0.1153 0.6712
0.7086 0.9954 0.0581
0.7126 0.9172 0.5763
0.7763 0.4957 0.2557
0.8847 0.3109 0.8288
0.8922 0.5205 0.3779
0.9049 0.9275 0.3577
0.9172 0.7126 0.0763
0.9191 0.3386 0.7096
0.9275 0.9049 0.8577
0.9661 0.3700 0.1624
0.9954 0.7086 0.5581
0.2433 0.7207 0.0205
0.2793 0.7567 0.4795
0.3525 0.4242 0.4618
0.4242 0.3525 0.9618
0.4369 0.5478 0.6183
0.4522 0.5631 0.8817
0.5478 0.4369 0.1183
0.5631 0.4522 0.3817
0.5758 0.6475 0.0382
0.6475 0.5758 0.5382
0.7207 0.2433 0.5205
0.7567 0.2793 0.9795
```

Most intense lines, 2θ from 15° to 90°, low angle first:
d_spacing	Position (°2θ)	intensity
5.425	16.34	100
4.962	17.88	86
4.251	20.90	68
3.645	24.42	88
3.483	25.57	71
3.462	25.73	76
3.223	27.68	74
2.662	33.66	51

---

Computed powder diffractogram
Compound: SmGdB2Pt2N2
Radiation: Cu Kα, 1.54184 Å
Structure: a cell relaxed with GGA-PBE

Cell and atoms:
```
SmGdB2Pt2N2
1.0
3.7661 0.0000 0.0000
0.0000 3.7661 0.0000
0.0000 0.0000 7.6575
Sm Gd B Pt N
1 1 2 2 2
direct
0.0000 0.0000 0.0000
0.5000 0.5000 0.6737
0.0000 0.0000 0.5049
0.5000 0.5000 0.1669
0.0000 0.5000 0.3375
0.5000 0.0000 0.3375
0.0000 0.0000 0.6930
0.5000 0.5000 0.9786
```

Most intense lines, 2θ from 15° to 90°, low angle first:
d_spacing	Position (°2θ)	intensity
3.379	26.37	36
2.685	33.37	26
2.552	35.16	42
2.515	35.70	100
2.186	41.30	64
1.883	48.33	37
1.554	59.47	26
1.515	61.16	34